Starting from a structure optimized by DFT (PBE), the PXRD pattern of As3Br was calculated for copper Kα.
Neutral-atom scattering factors, no anomalous dispersion.

a = 3.834 Å, b = 3.834 Å, c = 7.047 Å
α = 90.00°, β = 90.00°, γ = 90.00°
Element x y z (fractional)
As1 0.000 0.000 0.000
As2 0.000 0.500 0.276
As3 0.500 0.000 0.276
Br1 0.500 0.500 0.785

Peak list (10 most intense, 2θ from 5° to 70°, sorted by position)
- 7.047 Å, 2θ = 12.6°, rel. 464
- 3.523 Å, 2θ = 25.3°, rel. 248
- 3.368 Å, 2θ = 26.5°, rel. 317
- 2.594 Å, 2θ = 34.6°, rel. 378
- 2.530 Å, 2θ = 35.5°, rel. 1000
- 2.149 Å, 2θ = 42.1°, rel. 205
- 2.003 Å, 2θ = 45.3°, rel. 148
- 1.917 Å, 2θ = 47.4°, rel. 311
- 1.775 Å, 2θ = 51.5°, rel. 210
- 1.542 Å, 2θ = 60.0°, rel. 149

---

Starting from a structure optimized by DFT (PBE), the PXRD pattern of Li5Nd was calculated for copper Kα.
Neutral-atom scattering factors, no anomalous dispersion.

a = 8.202 Å, b = 8.202 Å, c = 3.360 Å
α = 90.00°, β = 90.00°, γ = 142.00°
Element x y z (fractional)
Li1 0.000 0.000 0.000
Li2 0.154 0.846 0.500
Li3 0.312 0.688 0.000
Li4 0.688 0.312 0.000
Li5 0.846 0.154 0.500
Nd1 0.500 0.500 0.500

Peak list (10 most intense, 2θ from 5° to 70°, sorted by position)
- 7.755 Å, 2θ = 11.4°, rel. 1000
- 5.049 Å, 2θ = 17.6°, rel. 764
- 3.877 Å, 2θ = 22.9°, rel. 220
- 3.714 Å, 2θ = 24.0°, rel. 383
- 3.083 Å, 2θ = 29.0°, rel. 249
- 2.797 Å, 2θ = 32.0°, rel. 367
- 2.682 Å, 2θ = 33.4°, rel. 183
- 2.492 Å, 2θ = 36.0°, rel. 389
- 2.096 Å, 2θ = 43.2°, rel. 159
- 2.018 Å, 2θ = 44.9°, rel. 151

---

Starting from a structure optimized by DFT (PBE), the PXRD pattern of Cs3Pr3YSe8 was calculated for copper Kα.
Neutral-atom scattering factors, no anomalous dispersion.

a = 8.684 Å, b = 8.696 Å, c = 9.934 Å
α = 64.10°, β = 64.09°, γ = 60.05°
Element x y z (fractional)
Cs1 0.000 0.000 0.000
Cs2 0.000 0.500 0.000
Cs3 0.500 0.000 0.000
Pr1 0.000 0.500 0.500
Pr2 0.500 0.000 0.500
Pr3 0.500 0.500 0.500
Y1 0.000 0.000 0.500
Se1 0.222 0.738 0.315
Se2 0.223 0.224 0.315
Se3 0.262 0.777 0.686
Se4 0.270 0.269 0.692
Se5 0.730 0.731 0.308
Se6 0.738 0.223 0.314
Se7 0.777 0.776 0.685
Se8 0.778 0.262 0.685

Peak list (10 most intense, 2θ from 5° to 70°, sorted by position)
- 8.577 Å, 2θ = 10.3°, rel. 210
- 3.249 Å, 2θ = 27.5°, rel. 1000
- 2.630 Å, 2θ = 34.1°, rel. 107
- 2.445 Å, 2θ = 36.8°, rel. 320
- 2.173 Å, 2θ = 41.6°, rel. 360
- 2.124 Å, 2θ = 42.6°, rel. 80
- 1.806 Å, 2θ = 50.5°, rel. 181
- 1.624 Å, 2θ = 56.7°, rel. 91
- 1.526 Å, 2θ = 60.7°, rel. 80
- 1.390 Å, 2θ = 67.4°, rel. 101

---

Starting from a structure optimized by DFT (PBE), the PXRD pattern of SmSb2Pd8 was calculated for copper Kα.
Neutral-atom scattering factors, no anomalous dispersion.

a = 7.152 Å, b = 7.152 Å, c = 4.747 Å
α = 101.61°, β = 101.61°, γ = 114.90°
Element x y z (fractional)
Sm1 0.000 0.000 0.000
Sb1 0.316 0.684 0.500
Sb2 0.684 0.316 0.500
Pd1 0.076 0.318 0.612
Pd2 0.234 0.766 0.000
Pd3 0.318 0.076 0.612
Pd4 0.398 0.398 0.177
Pd5 0.602 0.602 0.823
Pd6 0.682 0.924 0.388
Pd7 0.766 0.234 0.000
Pd8 0.924 0.682 0.388

Peak list (10 most intense, 2θ from 5° to 70°, sorted by position)
- 3.564 Å, 2θ = 25.0°, rel. 353
- 2.524 Å, 2θ = 35.6°, rel. 317
- 2.487 Å, 2θ = 36.1°, rel. 1000
- 2.471 Å, 2θ = 36.4°, rel. 981
- 2.372 Å, 2θ = 37.9°, rel. 408
- 2.323 Å, 2θ = 38.8°, rel. 453
- 2.303 Å, 2θ = 39.1°, rel. 667
- 2.135 Å, 2θ = 42.3°, rel. 685
- 2.047 Å, 2θ = 44.2°, rel. 347
- 1.507 Å, 2θ = 61.5°, rel. 259

---

Starting from a structure optimized by DFT (PBE), the PXRD pattern of Dy2Ga5Ag3 was calculated for copper Kα.
Neutral-atom scattering factors, no anomalous dispersion.

a = 8.689 Å, b = 8.689 Å, c = 8.689 Å
α = 101.07°, β = 92.70°, γ = 139.55°
Element x y z (fractional)
Dy1 0.125 0.244 0.369
Dy2 0.375 0.744 0.120
Dy3 0.625 0.256 0.880
Dy4 0.875 0.756 0.631
Ga1 0.013 0.750 0.263
Ga2 0.120 0.646 0.766
Ga3 0.250 0.250 0.000
Ga4 0.380 0.146 0.526
Ga5 0.487 0.750 0.737
Ga6 0.513 0.250 0.263
Ga7 0.620 0.854 0.474
Ga8 0.750 0.750 0.000
Ga9 0.880 0.354 0.234
Ga10 0.987 0.250 0.737
Ag1 0.132 0.870 0.002
Ag2 0.250 0.750 0.500
Ag3 0.368 0.370 0.738
Ag4 0.632 0.630 0.262
Ag5 0.750 0.250 0.500
Ag6 0.868 0.130 0.998

Peak list (10 most intense, 2θ from 5° to 70°, sorted by position)
- 3.002 Å, 2θ = 29.8°, rel. 187
- 2.781 Å, 2θ = 32.2°, rel. 626
- 2.637 Å, 2θ = 34.0°, rel. 1000
- 2.122 Å, 2θ = 42.6°, rel. 560
- 2.032 Å, 2θ = 44.6°, rel. 120
- 1.960 Å, 2θ = 46.3°, rel. 349
- 1.687 Å, 2θ = 54.4°, rel. 276
- 1.569 Å, 2θ = 58.8°, rel. 101
- 1.502 Å, 2θ = 61.8°, rel. 93
- 1.440 Å, 2θ = 64.7°, rel. 248

---

Starting from a structure optimized by DFT (PBE), the PXRD pattern of GeS2 was calculated for copper Kα.
Neutral-atom scattering factors, no anomalous dispersion.

a = 12.590 Å, b = 12.590 Å, c = 12.590 Å
α = 124.43°, β = 124.43°, γ = 82.48°
Element x y z (fractional)
Ge1 0.065 0.269 0.956
Ge2 0.109 0.065 0.296
Ge3 0.187 0.891 0.456
Ge4 0.231 0.435 0.544
Ge5 0.269 0.813 0.204
Ge6 0.313 0.769 0.704
Ge7 0.391 0.687 0.956
Ge8 0.435 0.391 0.204
Ge9 0.565 0.609 0.796
Ge10 0.609 0.313 0.044
Ge11 0.687 0.231 0.296
Ge12 0.731 0.187 0.796
Ge13 0.769 0.565 0.456
Ge14 0.813 0.109 0.544
Ge15 0.891 0.935 0.704
Ge16 0.935 0.731 0.044
S1 0.014 0.264 0.750
S2 0.063 0.250 0.313
S3 0.077 0.652 0.981
S4 0.096 0.077 0.926
S5 0.152 0.577 0.481
S6 0.170 0.096 0.519
S7 0.236 0.486 0.750
S8 0.250 0.437 0.187
S9 0.250 0.937 0.687
S10 0.264 0.014 0.250
S11 0.330 0.848 0.926
S12 0.348 0.830 0.426
S13 0.404 0.330 0.981
S14 0.423 0.404 0.574
S15 0.437 0.750 0.187
S16 0.486 0.236 0.250
S17 0.514 0.764 0.750
S18 0.563 0.250 0.813
S19 0.577 0.596 0.426
S20 0.596 0.670 0.019
S21 0.652 0.170 0.574
S22 0.670 0.152 0.074
S23 0.736 0.986 0.750
S24 0.750 0.063 0.313
S25 0.750 0.563 0.813
S26 0.764 0.514 0.250
S27 0.830 0.904 0.481
S28 0.848 0.423 0.519
S29 0.904 0.923 0.074
S30 0.923 0.348 0.019
S31 0.937 0.750 0.687
S32 0.986 0.736 0.250

Peak list (10 most intense, 2θ from 5° to 70°, sorted by position)
- 6.241 Å, 2θ = 14.2°, rel. 1000
- 5.058 Å, 2θ = 17.5°, rel. 228
- 4.036 Å, 2θ = 22.0°, rel. 841
- 3.455 Å, 2θ = 25.8°, rel. 244
- 3.120 Å, 2θ = 28.6°, rel. 455
- 2.921 Å, 2θ = 30.6°, rel. 163
- 2.893 Å, 2θ = 30.9°, rel. 202
- 2.469 Å, 2θ = 36.4°, rel. 522
- 1.860 Å, 2θ = 49.0°, rel. 188
- 1.842 Å, 2θ = 49.5°, rel. 272

---

Please write out number 2 again, unchanged.
Starting from a structure optimized by DFT (PBE), the PXRD pattern of Li5Nd was calculated for copper Kα.
Neutral-atom scattering factors, no anomalous dispersion.

a = 8.202 Å, b = 8.202 Å, c = 3.360 Å
α = 90.00°, β = 90.00°, γ = 142.00°
Element x y z (fractional)
Li1 0.000 0.000 0.000
Li2 0.154 0.846 0.500
Li3 0.312 0.688 0.000
Li4 0.688 0.312 0.000
Li5 0.846 0.154 0.500
Nd1 0.500 0.500 0.500

Peak list (10 most intense, 2θ from 5° to 70°, sorted by position)
- 7.755 Å, 2θ = 11.4°, rel. 1000
- 5.049 Å, 2θ = 17.6°, rel. 764
- 3.877 Å, 2θ = 22.9°, rel. 220
- 3.714 Å, 2θ = 24.0°, rel. 383
- 3.083 Å, 2θ = 29.0°, rel. 249
- 2.797 Å, 2θ = 32.0°, rel. 367
- 2.682 Å, 2θ = 33.4°, rel. 183
- 2.492 Å, 2θ = 36.0°, rel. 389
- 2.096 Å, 2θ = 43.2°, rel. 159
- 2.018 Å, 2θ = 44.9°, rel. 151

---

Question: Number 1 is which compound?
Answer: As3Br